Entry 1:
Theoretical X-ray powder pattern
Compound: Sr3TaCoO7
Radiation: Cu Kα, 1.54184 Å
Structure: a PBE+U-relaxed structure

Structural model:
```
Sr3TaCoO7
1.0
3.9645 0.0000 0.0000
-0.0032 7.8974 0.0000
-0.0127 -0.0024 21.5345
Sr Ta Co O
12 4 4 28
Cartesian
0.0000 0.0000 0.0000 Sr
-0.0014 0.0073 3.5336 Sr
-0.0039 3.9190 8.0750 Sr
-0.0054 7.8553 8.1013 Sr
1.9572 5.8533 14.2765 Sr
1.9609 1.9676 14.2745 Sr
1.9682 1.9262 18.8253 Sr
1.9668 5.8955 18.8521 Sr
1.9867 5.9132 10.7784 Sr
1.9909 1.9147 10.7772 Sr
3.9585 3.8687 3.5303 Sr
3.9477 3.8745 21.5336 Sr
1.9785 1.9381 6.0686 Ta
1.9768 5.8870 6.0442 Ta
3.9492 3.9142 16.8401 Ta
3.9490 7.8573 16.7909 Ta
-0.0104 7.8610 12.4802 Co
1.9717 5.8879 1.6694 Co
1.9794 1.9372 1.6223 Co
3.9511 3.9118 12.3775 Co
3.9615 1.9370 1.8487 O
3.9535 1.9330 16.9368 O
-0.0039 1.9398 6.1684 O
3.9524 3.9117 14.9350 O
3.9509 3.9191 18.9296 O
-0.0055 5.8854 6.1546 O
3.9520 5.8902 16.9346 O
-0.0012 5.8883 1.8761 O
-0.0119 7.8540 18.8868 O
-0.0080 7.8608 14.8647 O
1.9645 7.8602 12.6036 O
1.9675 3.9124 12.5799 O
1.9685 3.9134 16.9634 O
1.9797 0.0190 1.8418 O
1.9781 1.9200 8.1431 O
1.9677 1.9263 21.1715 O
1.9785 1.9475 4.1490 O
1.9793 3.8582 1.8290 O
1.9776 3.9140 6.1780 O
1.9773 5.8778 4.1176 O
1.9765 5.9045 8.1285 O
1.9756 7.8599 6.1491 O
1.9688 7.8589 16.8981 O
1.9697 5.8980 21.2363 O
3.9445 7.8582 10.4585 O
3.9497 2.0386 12.6495 O
3.9502 3.9127 10.4058 O
3.9477 5.7842 12.6509 O
```

Top 12 peaks for 5 to 70 degrees two-theta, low angle first:
| d [Å] | two_theta | Rel. int. |
| --- | --- | --- |
| 10.767 | 8.21 | 23 |
| 5.384 | 16.47 | 15 |
| 3.892 | 22.85 | 12 |
| 3.465 | 25.71 | 23 |
| 2.914 | 30.68 | 100 |
| 2.798 | 31.99 | 59 |
| 2.153 | 41.95 | 14 |
| 1.982 | 45.77 | 17 |
| 1.974 | 45.97 | 17 |
| 1.706 | 53.71 | 16 |
| 1.638 | 56.14 | 19 |
| 1.635 | 56.26 | 18 |

Entry 2:
Theoretical X-ray powder pattern
Compound: Sr3TaCoO7
Radiation: Cu Kα, 1.54184 Å
Structure: a PBE+U-relaxed structure

Structural model:
```
Sr3TaCoO7
1.0
3.9690 0.0000 0.0000
-1.9711 10.9764 0.0000
-0.0065 -2.8305 15.5163
Sr Ta Co O
12 4 4 28
Cartesian
0.0000 0.0000 0.0000 Sr
3.9639 -0.6967 3.9110 Sr
-0.0230 3.0777 8.6097 Sr
-0.0304 2.3937 12.4391 Sr
-0.0087 4.4874 0.8703 Sr
0.0046 3.8117 4.7040 Sr
-0.0204 5.8605 13.0322 Sr
-0.0059 6.5673 9.1614 Sr
0.0008 7.9647 1.5442 Sr
0.0218 7.2489 5.3873 Sr
3.9584 -1.4155 7.7680 Sr
3.9522 -2.1124 11.6502 Sr
1.9703 0.2144 10.0727 Ta
1.9814 1.6218 2.3106 Ta
1.9723 -0.4725 13.9574 Ta
1.9770 0.9467 6.1998 Ta
1.9181 3.9116 14.7838 Co
1.9818 5.2387 6.9841 Co
1.9692 4.6131 10.8496 Co
1.9889 6.0223 3.1253 Co
-0.0030 1.5050 2.2854 O
-0.0118 0.1107 10.0550 O
-0.0095 -0.5909 13.9377 O
-0.0063 0.8426 6.1746 O
-0.0068 5.0765 6.9468 O
-0.0159 4.4037 10.8408 O
0.0030 5.7968 3.0637 O
0.0208 3.6379 14.6955 O
0.0003 9.1455 9.7004 O
0.0119 10.5400 1.9288 O
0.0051 8.4314 13.5863 O
0.0076 9.8678 5.8183 O
1.9799 1.8500 0.3475 O
1.9783 1.1745 4.2329 O
1.9782 0.4659 8.1123 O
1.9762 -0.2471 11.9982 O
1.9735 2.0968 10.4221 O
1.9853 3.5075 2.6204 O
1.9812 2.8352 6.5468 O
1.9842 1.4080 14.3230 O
1.9688 4.6886 8.9883 O
1.9680 4.0509 12.6933 O
1.9890 5.4458 4.9274 O
1.9865 6.1599 1.1910 O
1.9753 7.2482 7.3741 O
1.9778 6.5494 11.2603 O
1.9936 7.9757 3.4437 O
2.0530 5.7757 15.0908 O
```

Top 12 peaks for 5 to 70 degrees two-theta, low angle first:
| d [Å] | two_theta | Rel. int. |
| --- | --- | --- |
| 10.798 | 8.19 | 38 |
| 5.399 | 16.42 | 26 |
| 3.476 | 25.63 | 20 |
| 2.923 | 30.59 | 85 |
| 2.912 | 30.70 | 84 |
| 2.797 | 31.99 | 100 |
| 2.160 | 41.83 | 24 |
| 1.985 | 45.72 | 29 |
| 1.972 | 46.04 | 28 |
| 1.710 | 53.60 | 21 |
| 1.640 | 56.09 | 24 |
| 1.634 | 56.29 | 31 |

Entry 3:
Theoretical X-ray powder pattern
Compound: Sr3TaCoO7
Radiation: Cu Kα, 1.54184 Å
Structure: a PBE+U-relaxed structure

Structural model:
```
Sr3TaCoO7
1.0
11.1575 0.0000 0.0000
0.0000 5.5961 0.0000
-1.3957 0.0000 5.4175
Sr Ta Co O
6 2 2 14
Cartesian
0.0000 1.3854 0.0000 Sr
-0.6979 4.2107 2.7088 Sr
1.9065 1.3968 3.3808 Sr
2.6043 4.1994 0.6720 Sr
6.3263 1.3862 4.5224 Sr
7.0242 4.2099 1.8136 Sr
4.5626 1.4009 1.1765 Ta
3.8647 4.1953 3.8852 Ta
8.8519 1.4205 2.3018 Co
8.1540 4.1756 5.0106 Co
-0.3748 1.4056 2.7908 O
0.3230 4.1906 0.0820 O
2.5398 1.3811 0.6534 O
1.8419 4.2150 3.3622 O
4.0900 2.7970 2.4989 O
3.3921 2.7992 5.2076 O
4.1219 5.5951 2.5058 O
3.4240 0.0010 5.2146 O
6.4172 1.4230 1.6520 O
5.7193 4.1731 4.3608 O
8.3076 0.0837 3.4984 O
9.0055 5.5125 0.7896 O
8.9876 2.7161 0.9493 O
8.2897 2.8800 3.6580 O
```

Top 12 peaks for 5 to 70 degrees two-theta, low angle first:
| d [Å] | two_theta | Rel. int. |
| --- | --- | --- |
| 10.805 | 8.18 | 23 |
| 5.402 | 16.41 | 15 |
| 3.892 | 22.85 | 12 |
| 3.468 | 25.69 | 23 |
| 2.918 | 30.64 | 100 |
| 2.798 | 31.99 | 59 |
| 2.161 | 41.80 | 15 |
| 2.053 | 44.12 | 11 |
| 1.978 | 45.87 | 33 |
| 1.710 | 53.59 | 17 |
| 1.637 | 56.17 | 37 |
| 1.459 | 63.79 | 15 |

Entry 4:
Theoretical X-ray powder pattern
Compound: Sr3TaCoO7
Radiation: Cu Kα, 1.54184 Å
Structure: a PBE+U-relaxed structure

Structural model:
```
Sr3TaCoO7
1.0
2.7998 -10.6397 0.0000
2.7998 10.6397 0.0000
-0.0051 0.0000 5.6003
Sr Ta Co O
6 2 2 14
Cartesian
2.7998 -10.6378 0.0000 Sr
2.7998 7.1840 0.0000 Sr
2.7998 2.7120 0.0000 Sr
2.7972 0.0000 2.8001 Sr
2.7972 -3.4593 2.8001 Sr
2.7972 -7.9788 2.8001 Sr
2.7972 4.7213 2.8001 Ta
2.7998 -5.9272 0.0000 Ta
2.7972 8.9559 2.8001 Co
2.7998 -1.5811 0.0000 Co
1.3990 4.6161 1.4031 O
1.3958 4.6173 4.1975 O
2.7972 6.6555 2.8001 O
1.3194 -1.8000 1.4820 O
1.4778 -1.8169 4.2800 O
2.7972 2.6528 2.8001 O
2.7998 0.3927 0.0000 O
4.1987 4.6173 1.4028 O
4.1954 4.6161 4.1972 O
2.7998 -4.0219 0.0000 O
4.1166 -1.8169 1.3202 O
4.2750 -1.8000 4.1182 O
2.7998 -8.0050 0.0000 O
2.7972 -10.3441 2.8001 O
```

Top 12 peaks for 5 to 70 degrees two-theta, low angle first:
| d [Å] | two_theta | Rel. int. |
| --- | --- | --- |
| 10.640 | 8.31 | 23 |
| 5.320 | 16.66 | 14 |
| 3.893 | 22.84 | 12 |
| 3.457 | 25.77 | 24 |
| 2.899 | 30.84 | 100 |
| 2.800 | 31.96 | 61 |
| 2.128 | 42.48 | 14 |
| 1.980 | 45.83 | 34 |
| 1.928 | 47.13 | 11 |
| 1.694 | 54.13 | 16 |
| 1.635 | 56.27 | 37 |
| 1.449 | 64.26 | 15 |

Entry 5:
Theoretical X-ray powder pattern
Compound: Sr3TaCoO7
Radiation: Cu Kα, 1.54184 Å
Structure: a PBE+U-relaxed structure

Structural model:
```
Sr3TaCoO7
1.0
-2.7998 2.7998 21.4664
2.7998 -2.7998 21.4664
2.7998 2.7998 -21.4664
Sr Ta Co O
12 4 4 28
Cartesian
0.0000 0.0000 0.0000 Sr
0.0000 0.0000 3.5182 Sr
0.0000 0.0000 8.0361 Sr
2.7998 0.0000 10.7332 Sr
2.7998 0.0000 14.2514 Sr
2.7998 0.0000 18.7693 Sr
0.0000 0.0000 21.4664 Sr
0.0000 0.0000 24.9846 Sr
0.0000 0.0000 29.5026 Sr
0.0000 2.7998 10.7332 Sr
0.0000 2.7998 14.2514 Sr
0.0000 2.7998 18.7693 Sr
2.7998 0.0000 6.0040 Ta
0.0000 0.0000 16.7372 Ta
0.0000 2.7998 6.0040 Ta
0.0000 0.0000 38.2036 Ta
2.7998 0.0000 1.6569 Co
0.0000 0.0000 12.3901 Co
0.0000 2.7998 1.6569 Co
0.0000 0.0000 33.8565 Co
1.4738 -1.4729 12.5825 O
1.4738 1.4729 -8.8839 O
2.7998 0.0000 4.0866 O
1.4003 1.3998 -4.6318 O
1.4003 -1.3998 16.8346 O
2.7998 0.0000 8.0813 O
0.0000 0.0000 10.3865 O
1.4729 1.3261 1.8492 O
1.4729 -1.3261 23.3157 O
0.0000 0.0000 14.8199 O
1.3998 1.3996 6.1014 O
1.3998 -1.3996 27.5679 O
0.0000 0.0000 18.8145 O
2.7998 0.0000 21.1197 O
1.3261 1.3270 12.5825 O
1.3261 4.2727 -8.8839 O
0.0000 2.7998 4.0866 O
1.3996 4.1996 -4.6318 O
1.3996 1.4001 16.8346 O
0.0000 2.7998 8.0813 O
0.0000 0.0000 31.8529 O
1.3270 4.1259 1.8492 O
1.3270 1.4738 23.3157 O
0.0000 0.0000 36.2863 O
1.4001 4.1994 6.1014 O
1.4001 1.4003 27.5679 O
0.0000 0.0000 40.2809 O
0.0000 2.7998 21.1197 O
```

Top 12 peaks for 5 to 70 degrees two-theta, low angle first:
| d [Å] | two_theta | Rel. int. |
| --- | --- | --- |
| 10.733 | 8.24 | 24 |
| 5.367 | 16.52 | 14 |
| 3.894 | 22.84 | 12 |
| 3.465 | 25.71 | 23 |
| 2.911 | 30.72 | 100 |
| 2.800 | 31.96 | 59 |
| 2.147 | 42.09 | 14 |
| 2.043 | 44.34 | 10 |
| 1.980 | 45.83 | 34 |
| 1.704 | 53.81 | 17 |
| 1.637 | 56.19 | 37 |
| 1.455 | 63.97 | 15 |

Entry 6:
Theoretical X-ray powder pattern
Compound: Sr2TbCoO6
Radiation: Cu Kα, 1.54184 Å
Structure: a PBE+U-relaxed structure

Structural model:
```
Sr2TbCoO6
1.0
0.0000 4.0763 4.0763
4.0763 0.0000 4.0763
4.0763 4.0763 0.0000
Sr Tb Co O
2 1 1 6
Cartesian
2.0381 2.0381 2.0381 Sr
6.1144 6.1144 6.1144 Sr
0.0000 0.0000 0.0000 Tb
4.0763 4.0763 4.0763 Co
4.0763 4.0763 2.2117 O
4.0763 2.2117 4.0763 O
5.9408 4.0763 4.0763 O
2.2117 4.0763 4.0763 O
4.0763 5.9408 4.0763 O
4.0763 4.0763 5.9408 O
```

Top 12 peaks for 5 to 70 degrees two-theta, low angle first:
| d [Å] | two_theta | Rel. int. |
| --- | --- | --- |
| 4.707 | 18.85 | 10 |
| 4.076 | 21.80 | 6 |
| 2.882 | 31.03 | 100 |
| 2.458 | 36.56 | 10 |
| 2.353 | 38.24 | 1 |
| 2.038 | 44.45 | 32 |
| 1.870 | 48.68 | 6 |
| 1.823 | 50.03 | 2 |
| 1.664 | 55.20 | 39 |
| 1.569 | 58.86 | 3 |
| 1.441 | 64.68 | 19 |
| 1.378 | 68.03 | 3 |

Entry 7:
Theoretical X-ray powder pattern
Compound: Sr2CoTeO6
Radiation: Cu Kα, 1.54184 Å
Structure: a PBE+U-relaxed structure

Structural model:
```
Sr2CoTeO6
1.0
5.6969 0.0000 0.0000
-0.0389 5.7247 0.0000
-0.0071 -0.0423 8.0040
Sr Co Te O
4 2 2 12
Cartesian
0.1031 0.0199 2.0048 Sr
2.7226 2.8529 6.0010 Sr
2.9282 2.8296 2.0030 Sr
5.5477 5.6625 5.9992 Sr
-0.0194 2.8624 0.0000 Co
2.8449 -0.0211 4.0020 Co
-0.0230 2.8412 4.0020 Te
2.8484 0.0000 0.0000 Te
0.0226 2.4792 5.9231 O
1.2305 4.3191 4.2627 O
1.3164 4.4355 7.7395 O
1.4648 1.5965 3.7396 O
1.5863 1.4734 0.2661 O
2.7747 5.3588 1.9245 O
2.8761 0.3237 6.0794 O
4.0645 4.2091 7.7379 O
4.1861 4.0859 4.2644 O
4.3344 1.2469 0.2645 O
4.4204 1.3634 3.7413 O
5.6282 3.2033 2.0809 O
```

Top 12 peaks for 5 to 70 degrees two-theta, low angle first:
| d [Å] | two_theta | Rel. int. |
| --- | --- | --- |
| 2.862 | 31.25 | 24 |
| 2.847 | 31.42 | 100 |
| 2.832 | 31.60 | 25 |
| 2.026 | 44.73 | 16 |
| 2.012 | 45.05 | 16 |
| 2.001 | 45.32 | 16 |
| 1.648 | 55.77 | 15 |
| 1.645 | 55.90 | 10 |
| 1.642 | 55.99 | 10 |
| 1.638 | 56.16 | 15 |
| 1.425 | 65.50 | 9 |
| 1.422 | 65.67 | 9 |

Entry 8:
Theoretical X-ray powder pattern
Compound: Sr2YTlCo2O7
Radiation: Cu Kα, 1.54184 Å
Structure: a PBE+U-relaxed structure

Structural model:
```
Sr2YTlCo2O7
1.0
3.8465 0.0000 0.0000
0.0000 3.8465 0.0000
0.0000 0.0000 12.2501
Sr Y Tl Co O
2 1 1 2 7
Cartesian
0.0000 0.0000 2.5192 Sr
0.0000 0.0000 9.7310 Sr
0.0000 0.0000 6.1251 Y
1.9233 1.9233 0.0000 Tl
1.9233 1.9233 4.3426 Co
1.9233 1.9233 7.9076 Co
0.0000 0.0000 0.0000 O
0.0000 1.9233 4.6648 O
0.0000 1.9233 7.5854 O
1.9233 0.0000 4.6648 O
1.9233 0.0000 7.5854 O
1.9233 1.9233 2.2163 O
1.9233 1.9233 10.0339 O
```

Top 12 peaks for 5 to 70 degrees two-theta, low angle first:
| d [Å] | two_theta | Rel. int. |
| --- | --- | --- |
| 3.670 | 24.25 | 22 |
| 3.257 | 27.38 | 21 |
| 2.800 | 31.96 | 100 |
| 2.720 | 32.93 | 65 |
| 2.655 | 33.76 | 10 |
| 2.450 | 36.68 | 12 |
| 2.034 | 44.55 | 19 |
| 1.923 | 47.26 | 34 |
| 1.820 | 50.11 | 10 |
| 1.633 | 56.35 | 16 |
| 1.585 | 58.20 | 37 |
| 1.360 | 69.06 | 11 |